Entry 1:
# V4OF11
Calculated X-ray diffraction stick pattern, copper Kα. Input: a structure optimized by DFT (PBE+U).

Cell and atoms:
Lattice parameters (Å, degrees): 5.461 5.461 17.727 100.73 100.73 57.23
Atoms (fractional coordinates):
V1 0.062 0.062 0.189
V2 0.175 0.199 0.564
V3 0.310 0.316 0.937
V4 0.450 0.410 0.315
V5 0.590 0.550 0.685
V6 0.684 0.690 0.063
V7 0.801 0.825 0.436
V8 0.938 0.938 0.811
O1 0.629 0.086 0.351
O2 0.914 0.371 0.649
F1 0.144 0.357 0.250
F2 0.147 0.550 0.848
F3 0.186 0.774 0.724
F4 0.191 0.613 0.399
F5 0.224 0.026 0.875
F6 0.226 0.814 0.276
F7 0.387 0.809 0.601
F8 0.392 0.608 0.000
F9 0.421 0.029 0.475
F10 0.450 0.853 0.152
F11 0.465 0.283 0.627
F12 0.470 0.082 0.027
F13 0.643 0.856 0.750
F14 0.666 0.282 0.225
F15 0.699 0.103 0.900
F16 0.717 0.535 0.373
F17 0.718 0.334 0.775
F18 0.895 0.105 0.500
F19 0.897 0.301 0.100
F20 0.918 0.530 0.973
F21 0.971 0.579 0.525
F22 0.974 0.776 0.125

Principal peaks in the range 2θ = 5–70°, sorted by position:
2θ 23.43, rel. 500; 2θ 23.56, rel. 1000; 2θ 32.84, rel. 222; 2θ 39.55, rel. 102; 2θ 39.59, rel. 107; 2θ 39.77, rel. 90; 2θ 47.91, rel. 106; 2θ 48.19, rel. 201; 2θ 53.26, rel. 245; 2θ 53.43, rel. 124; 2θ 60.18, rel. 64; 2θ 61.26, rel. 84

Entry 2:
# AcVO3
Calculated X-ray diffraction stick pattern, copper Kα. Input: a structure optimized by DFT (PBE+U).

Cell and atoms:
Lattice parameters (Å, degrees): 4.008 4.008 4.008 90.00 90.00 90.00
Atoms (fractional coordinates):
Ac1 0.000 0.000 0.000
V1 0.500 0.500 0.500
O1 0.000 0.500 0.500
O2 0.500 0.000 0.500
O3 0.500 0.500 0.000

Principal peaks in the range 2θ = 5–70°, sorted by position:
2θ 22.18, rel. 411; 2θ 31.57, rel. 1000; 2θ 38.92, rel. 285; 2θ 45.25, rel. 290; 2θ 50.95, rel. 212; 2θ 56.22, rel. 403; 2θ 65.92, rel. 179

Entry 3:
# Ba2V2CuClO7
Calculated X-ray diffraction stick pattern, copper Kα. Input: a structure optimized by DFT (PBE+U).

Cell and atoms:
Lattice parameters (Å, degrees): 9.101 9.101 5.512 90.00 90.00 90.00
Atoms (fractional coordinates):
Ba1 0.177 0.323 0.000
Ba2 0.323 0.823 0.000
Ba3 0.677 0.177 0.000
Ba4 0.823 0.677 0.000
V1 0.130 0.630 0.542
V2 0.370 0.130 0.542
V3 0.630 0.870 0.542
V4 0.870 0.370 0.542
Cu1 0.000 0.000 0.606
Cu2 0.500 0.500 0.606
Cl1 0.000 0.000 0.149
Cl2 0.500 0.500 0.149
O1 0.000 0.500 0.685
O2 0.089 0.799 0.663
O3 0.125 0.625 0.226
O4 0.201 0.089 0.663
O5 0.299 0.589 0.663
O6 0.375 0.125 0.226
O7 0.411 0.299 0.663
O8 0.500 0.000 0.685
O9 0.589 0.701 0.663
O10 0.625 0.875 0.226
O11 0.701 0.411 0.663
O12 0.799 0.911 0.663
O13 0.875 0.375 0.226
O14 0.911 0.201 0.663

Principal peaks in the range 2θ = 5–70°, sorted by position:
2θ 25.38, rel. 297; 2θ 27.24, rel. 1000; 2θ 27.73, rel. 133; 2θ 31.08, rel. 313; 2θ 32.49, rel. 151; 2θ 38.18, rel. 107; 2θ 39.49, rel. 142; 2θ 40.88, rel. 158; 2θ 44.20, rel. 182; 2θ 45.57, rel. 134; 2θ 53.16, rel. 93; 2θ 54.82, rel. 113